Entry 1:
# Y2CN2O2
Calculated X-ray diffraction stick pattern, CuKα. Input: a cell relaxed with PBE.
No peak broadening, texture or thermal motion is included.

```
7
Lattice="3.743 0.000 0.000 -1.872 3.242 0.000 0.000 0.000 8.235" Properties=species:S:1:pos:R:3 pbc="T T T"
Y 0.000 2.161 1.462
Y 1.872 1.081 6.773
C 0.000 0.000 4.118
N 0.000 0.000 2.881
N 0.000 0.000 5.354
O 0.000 2.161 7.383
O 1.872 1.081 0.852
```

Peak list (10 most intense, 10° ≤ 2θ ≤ 90°, low angle first)
2θ = 10.74°, 8.235 Å, I 50
2θ = 21.58°, 4.118 Å, I 17
2θ = 29.62°, 3.016 Å, I 100
2θ = 32.62°, 2.745 Å, I 18
2θ = 35.24°, 2.547 Å, I 34
2θ = 43.19°, 2.095 Å, I 24
2θ = 48.65°, 1.872 Å, I 33
2θ = 52.67°, 1.738 Å, I 24
2θ = 57.99°, 1.590 Å, I 14
2θ = 59.81°, 1.546 Å, I 18



Entry 2:
# Y3Ga7Pt4
Calculated X-ray diffraction stick pattern, CuKα. Input: a cell relaxed with PBE.
No peak broadening, texture or thermal motion is included.

```
14
Lattice="7.949 -2.148 0.000 7.949 2.148 0.000 -5.421 0.000 7.639" Properties=species:S:1:pos:R:3 pbc="T T T"
Y 0.000 0.000 0.000
Y 3.252 0.000 2.314
Y 7.225 0.000 5.326
Ga -2.711 0.000 3.820
Ga 0.143 0.000 3.271
Ga -0.140 0.000 7.372
Ga 6.372 0.000 2.208
Ga 4.104 0.000 5.431
Ga 10.617 0.000 0.267
Ga 10.334 0.000 4.368
Pt -2.649 0.000 6.496
Pt 1.567 0.000 5.483
Pt 8.909 0.000 2.156
Pt 13.126 0.000 1.143
```

Peak list (10 most intense, 10° ≤ 2θ ≤ 90°, low angle first)
2θ = 26.59°, 3.353 Å, I 65
2θ = 34.99°, 2.564 Å, I 97
2θ = 35.29°, 2.543 Å, I 84
2θ = 35.55°, 2.526 Å, I 70
2θ = 35.69°, 2.516 Å, I 42
2θ = 41.80°, 2.161 Å, I 43
2θ = 42.07°, 2.148 Å, I 100
2θ = 44.54°, 2.034 Å, I 39
2θ = 49.27°, 1.849 Å, I 44
2θ = 67.69°, 1.384 Å, I 43



Entry 3:
# Dy3YTm8
Calculated X-ray diffraction stick pattern, CuKα. Input: a cell relaxed with PBE.
No peak broadening, texture or thermal motion is included.

```
12
Lattice="-3.177 5.566 5.609 3.177 -5.566 5.609 3.177 5.566 -5.609" Properties=species:S:1:pos:R:3 pbc="T T T"
Dy 0.000 0.000 0.000
Dy 3.177 0.000 2.804
Dy 0.000 5.566 2.805
Y 0.000 0.000 5.609
Tm 3.177 3.691 -2.806
Tm 1.588 2.775 0.000
Tm 4.766 2.775 0.000
Tm 0.000 1.875 2.803
Tm 3.177 3.691 2.806
Tm -1.589 2.791 5.609
Tm 1.589 2.791 5.609
Tm 0.000 1.875 8.415
```

Peak list (10 most intense, 10° ≤ 2θ ≤ 90°, low angle first)
2θ = 22.55°, 3.943 Å, I 19
2θ = 27.84°, 3.204 Å, I 22
2θ = 31.91°, 2.805 Å, I 53
2θ = 32.17°, 2.782 Å, I 100
2θ = 32.41°, 2.763 Å, I 78
2θ = 36.29°, 2.476 Å, I 37
2θ = 46.15°, 1.967 Å, I 18
2θ = 52.35°, 1.748 Å, I 22
2θ = 57.53°, 1.602 Å, I 20
2θ = 67.31°, 1.391 Å, I 27



Entry 4:
# Tb2Dy5ErSc
Calculated X-ray diffraction stick pattern, CuKα. Input: a cell relaxed with PBE.
No peak broadening, texture or thermal motion is included.

```
18
Lattice="2.754 -9.962 0.000 2.754 9.962 0.000 0.000 0.000 10.318" Properties=species:S:1:pos:R:3 pbc="T T T"
Tb 2.754 7.738 5.159
Tb 2.754 7.683 9.539
Tb 2.754 -7.683 4.381
Tb 2.754 -7.738 0.000
Dy 2.754 9.625 2.103
Dy 2.754 4.488 5.246
Dy 2.754 3.984 9.208
Dy 2.754 2.488 2.150
Dy 2.754 0.344 9.582
Dy 2.754 -0.344 4.423
Dy 2.754 -2.488 7.309
Dy 2.754 -3.984 4.049
Dy 2.754 -4.488 0.087
Dy 2.754 -9.625 7.261
Er 2.754 1.840 6.659
Er 2.754 -1.840 1.501
Sc 2.754 6.083 2.095
Sc 2.754 -6.083 7.254
```

Peak list (10 most intense, 10° ≤ 2θ ≤ 90°, low angle first)
2θ = 27.23°, 3.275 Å, I 24
2θ = 28.23°, 3.161 Å, I 15
2θ = 30.98°, 2.886 Å, I 35
2θ = 32.52°, 2.754 Å, I 43
2θ = 32.72°, 2.737 Å, I 100
2θ = 34.78°, 2.579 Å, I 12
2θ = 52.19°, 1.753 Å, I 11
2θ = 57.06°, 1.614 Å, I 11
2θ = 58.14°, 1.587 Å, I 20
2θ = 62.85°, 1.479 Å, I 13



Entry 5:
# Dy2AlGa4Cu3
Calculated X-ray diffraction stick pattern, CuKα. Input: a cell relaxed with PBE.
No peak broadening, texture or thermal motion is included.

```
10
Lattice="4.084 0.000 0.000 0.000 4.084 0.000 0.000 0.000 10.533" Properties=species:S:1:pos:R:3 pbc="T T T"
Dy 0.000 2.042 2.570
Dy 2.042 0.000 7.963
Al 0.000 0.000 5.267
Ga 0.000 0.000 0.000
Ga 0.000 2.042 6.787
Ga 2.042 0.000 3.746
Ga 2.042 2.042 0.000
Cu 0.000 2.042 9.147
Cu 2.042 0.000 1.386
Cu 2.042 2.042 5.267
```

Peak list (10 most intense, 10° ≤ 2θ ≤ 90°, low angle first)
2θ = 30.96°, 2.888 Å, I 25
2θ = 33.66°, 2.663 Å, I 67
2θ = 35.45°, 2.532 Å, I 100
2θ = 44.36°, 2.042 Å, I 51
2θ = 48.63°, 1.872 Å, I 36
2θ = 56.82°, 1.620 Å, I 29
2θ = 64.53°, 1.444 Å, I 16
2θ = 67.92°, 1.380 Å, I 26
2θ = 75.84°, 1.254 Å, I 21
2θ = 88.32°, 1.107 Å, I 11